Computed powder diffractogram
Compound: Ti12AlSi3C8
Radiation: Cu Kα, 1.54184 Å
Structure: a crystal structure in the Materials Project, relaxed with PBE
Neutral-atom scattering factors, no anomalous dispersion.

Top 12 peaks for 10° ≤ 2θ ≤ 80°, in order of falling intensity:
hkl 2 0 4, 39.3°, intensity 100; hkl 0 2 5, 42.2°, intensity 37; hkl 2 2 0, 60.1°, intensity 29; hkl 2 0 1, 34.0°, intensity 28; hkl 0 0 8, 40.3°, intensity 21; hkl 2 2 8, 74.8°, intensity 18; hkl 2 0 9, 57.8°, intensity 15; hkl 0 4 4, 74.2°, intensity 13; hkl 2 0 12, 72.6°, intensity 12; hkl 0 2 3, 36.9°, intensity 7; hkl 4 0 5, 76.2°, intensity 5; hkl 0 2 8, 53.4°, intensity 4

Structure:
```
data_Ti12AlSi3C8
_chemical_formula_sum 'Ti24 Al2 Si6 C16'
_space_group_name_H-M_alt 'P -3 m 1'
_space_group_IT_number 164
_space_group_name_Hall '-P 3 2"'
_cell_length_a 6.1601
_cell_length_b 6.1601
_cell_length_c 17.9118
_cell_angle_alpha 90.00
_cell_angle_beta 90.00
_cell_angle_gamma 120.00
loop_
_atom_site_label
_atom_site_fract_x
_atom_site_fract_y
_atom_site_fract_z
Ti1 0.0000 0.0000 0.0000
Ti2 0.0000 0.0000 0.5000
Ti3 0.0000 0.5000 0.0000
Ti4 0.0000 0.5000 0.5000
Ti5 0.1683 0.3365 0.1326
Ti6 0.1683 0.3365 0.3675
Ti7 0.3333 0.6667 0.6355
Ti8 0.3333 0.6667 0.8644
Al1 0.0000 0.0000 0.2501
Si1 0.0102 0.5051 0.2501
C1 0.1673 0.3347 0.5718
C2 0.1674 0.3348 0.9281
C3 0.3333 0.6667 0.0708
C4 0.3333 0.6667 0.4292
```



Computed powder diffractogram
Compound: Sm3AlC
Radiation: Cu Kα, 1.54184 Å
Structure: a crystal structure in the Materials Project, relaxed with PBE
Neutral-atom scattering factors, no anomalous dispersion.

Top 12 peaks for 10° ≤ 2θ ≤ 80°, in order of falling intensity:
hkl 1 1 1, 30.8°, intensity 100; hkl 2 0 0, 35.7°, intensity 55; hkl 3 1 1, 61.2°, intensity 43; hkl 2 2 0, 51.4°, intensity 39; hkl 1 0 0, 17.7°, intensity 24; hkl 1 1 0, 25.1°, intensity 14; hkl 2 2 2, 64.2°, intensity 13; hkl 2 1 0, 40.1°, intensity 12; hkl 2 1 1, 44.2°, intensity 7; hkl 4 0 0, 75.7°, intensity 6; hkl 3 0 0, 54.8°, intensity 6; hkl 3 2 1, 70.1°, intensity 4

Structure:
```
data_Sm3AlC
_chemical_formula_sum 'Sm3 Al1 C1'
_space_group_name_H-M_alt 'P m -3 m'
_space_group_IT_number 221
_space_group_name_Hall '-P 4 2 3'
_cell_length_a 5.0244
_cell_length_b 5.0244
_cell_length_c 5.0244
_cell_angle_alpha 90.00
_cell_angle_beta 90.00
_cell_angle_gamma 90.00
loop_
_atom_site_label
_atom_site_fract_x
_atom_site_fract_y
_atom_site_fract_z
Sm1 0.0000 0.0000 0.5000
Al1 0.5000 0.5000 0.5000
C1 0.0000 0.0000 0.0000
```



Computed powder diffractogram
Compound: ThAl4C4
Radiation: Cu Kα, 1.54184 Å
Structure: a crystal structure in the Materials Project, relaxed with PBE
Neutral-atom scattering factors, no anomalous dispersion.

Top 12 peaks for 10° ≤ 2θ ≤ 80°, in order of falling intensity:
hkl 1 1 0, 15.2°, intensity 100; hkl 2 1 1, 36.3°, intensity 96; hkl 3 1 0, 34.4°, intensity 61; hkl 1 0 1, 28.8°, intensity 46; hkl 2 0 0, 21.5°, intensity 32; hkl 5 0 1, 62.8°, intensity 32; hkl 2 3 1, 48.2°, intensity 26; hkl 2 2 0, 30.7°, intensity 25; hkl 4 2 0, 49.4°, intensity 22; hkl 3 0 1, 42.6°, intensity 21; hkl 1 4 1, 53.4°, intensity 20; hkl 1 3 2, 66.4°, intensity 18

Structure:
```
data_ThAl4C4
_chemical_formula_sum 'Th2 Al8 C8'
_space_group_name_H-M_alt 'I 4/m'
_space_group_IT_number 87
_space_group_name_Hall '-I 4'
_cell_length_a 8.2475
_cell_length_b 8.2475
_cell_length_c 3.3425
_cell_angle_alpha 90.00
_cell_angle_beta 90.00
_cell_angle_gamma 90.00
loop_
_atom_site_label
_atom_site_fract_x
_atom_site_fract_y
_atom_site_fract_z
Th1 0.0000 0.0000 0.0000
Al1 0.1415 0.3210 0.5000
C1 0.0890 0.7483 0.5000
```



Computed powder diffractogram
Compound: Ti3AlC
Radiation: Cu Kα, 1.54184 Å
Structure: a crystal structure in the Materials Project, relaxed with PBE
Neutral-atom scattering factors, no anomalous dispersion.

Top 9 peaks for 10° ≤ 2θ ≤ 80°, in order of falling intensity:
hkl 1 1 1, 37.2°, intensity 100; hkl 2 0 0, 43.3°, intensity 60; hkl 2 2 0, 62.9°, intensity 35; hkl 3 1 1, 75.4°, intensity 33; hkl 1 0 0, 21.3°, intensity 14; hkl 2 2 2, 79.4°, intensity 11; hkl 2 1 0, 48.7°, intensity 4; hkl 3 0 0, 67.2°, intensity 2; hkl 1 1 0, 30.2°, intensity 1

Structure:
```
data_Ti3AlC
_chemical_formula_sum 'Ti3 Al1 C1'
_space_group_name_H-M_alt 'P m -3 m'
_space_group_IT_number 221
_space_group_name_Hall '-P 4 2 3'
_cell_length_a 4.1811
_cell_length_b 4.1811
_cell_length_c 4.1811
_cell_angle_alpha 90.00
_cell_angle_beta 90.00
_cell_angle_gamma 90.00
loop_
_atom_site_label
_atom_site_fract_x
_atom_site_fract_y
_atom_site_fract_z
Ti1 0.0000 0.0000 0.5000
Al1 0.5000 0.5000 0.5000
C1 0.0000 0.0000 0.0000
```



Computed powder diffractogram
Compound: Ti3AlC2
Radiation: Cu Kα, 1.54184 Å
Structure: a crystal structure in the Materials Project, relaxed with PBE
Neutral-atom scattering factors, no anomalous dispersion.

Top 12 peaks for 10° ≤ 2θ ≤ 80°, in order of falling intensity:
hkl 1 0 4, 38.9°, intensity 100; hkl 1 0 5, 41.6°, intensity 30; hkl 1 1 0, 60.0°, intensity 28; hkl 1 0 1, 33.9°, intensity 25; hkl 0 0 8, 38.6°, intensity 25; hkl 1 1 8, 73.7°, intensity 20; hkl 1 0 12, 70.0°, intensity 14; hkl 2 0 4, 73.9°, intensity 13; hkl 1 0 3, 36.6°, intensity 12; hkl 1 0 9, 56.1°, intensity 11; hkl 1 0 7, 48.2°, intensity 10; hkl 1 0 11, 65.1°, intensity 5

Structure:
```
data_Ti3AlC2
_chemical_formula_sum 'Ti6 Al2 C4'
_space_group_name_H-M_alt 'P 63/m m c'
_space_group_IT_number 194
_space_group_name_Hall '-P 6c 2c'
_cell_length_a 3.0814
_cell_length_b 3.0814
_cell_length_c 18.6788
_cell_angle_alpha 90.00
_cell_angle_beta 90.00
_cell_angle_gamma 120.00
loop_
_atom_site_label
_atom_site_fract_x
_atom_site_fract_y
_atom_site_fract_z
Ti1 0.0000 0.0000 0.0000
Ti2 0.3333 0.6667 0.1268
Al1 0.0000 0.0000 0.2500
C1 0.3333 0.6667 0.5693
```



Computed powder diffractogram
Compound: Tm3AlC
Radiation: Cu Kα, 1.54184 Å
Structure: a crystal structure in the Materials Project, relaxed with PBE
Neutral-atom scattering factors, no anomalous dispersion.

Top 12 peaks for 10° ≤ 2θ ≤ 80°, in order of falling intensity:
hkl 1 1 1, 29.2°, intensity 100; hkl 2 0 0, 33.8°, intensity 63; hkl 2 2 0, 48.6°, intensity 45; hkl 3 1 1, 57.7°, intensity 44; hkl 1 0 0, 16.7°, intensity 40; hkl 2 1 0, 37.9°, intensity 21; hkl 3 3 1, 78.7°, intensity 18; hkl 1 1 0, 23.7°, intensity 17; hkl 2 2 2, 60.5°, intensity 16; hkl 3 0 0, 51.7°, intensity 11; hkl 2 1 1, 41.7°, intensity 8; hkl 4 0 0, 71.1°, intensity 7

Structure:
```
data_Tm3AlC
_chemical_formula_sum 'Tm3 Al1 C1'
_space_group_name_H-M_alt 'P m -3 m'
_space_group_IT_number 221
_space_group_name_Hall '-P 4 2 3'
_cell_length_a 5.3016
_cell_length_b 5.3016
_cell_length_c 5.3016
_cell_angle_alpha 90.00
_cell_angle_beta 90.00
_cell_angle_gamma 90.00
loop_
_atom_site_label
_atom_site_fract_x
_atom_site_fract_y
_atom_site_fract_z
Tm1 0.0000 0.0000 0.5000
Al1 0.0000 0.0000 0.0000
C1 0.5000 0.5000 0.5000
```



Computed powder diffractogram
Compound: UAl3C3
Radiation: Cu Kα, 1.54184 Å
Structure: a crystal structure in the Materials Project, relaxed with PBE
Neutral-atom scattering factors, no anomalous dispersion.

Top 12 peaks for 10° ≤ 2θ ≤ 80°, in order of falling intensity:
hkl 0 0 2, 10.2°, intensity 100; hkl 1 0 2, 32.2°, intensity 74; hkl 1 0 4, 36.9°, intensity 51; hkl 1 0 6, 43.9°, intensity 32; hkl 0 0 4, 20.4°, intensity 23; hkl 1 0 0, 30.5°, intensity 20; hkl 1 1 0, 54.1°, intensity 16; hkl 1 1 8, 70.4°, intensity 13; hkl 1 0 10, 61.9°, intensity 13; hkl 1 0 8, 52.3°, intensity 11; hkl 2 0 2, 64.4°, intensity 11; hkl 1 1 2, 55.2°, intensity 10

Structure:
```
data_UAl3C3
_chemical_formula_sum 'U2 Al6 C6'
_space_group_name_H-M_alt 'P 63 m c'
_space_group_IT_number 186
_space_group_name_Hall 'P 6c -2c'
_cell_length_a 3.3876
_cell_length_b 3.3876
_cell_length_c 17.4263
_cell_angle_alpha 90.00
_cell_angle_beta 90.00
_cell_angle_gamma 120.00
loop_
_atom_site_label
_atom_site_fract_x
_atom_site_fract_y
_atom_site_fract_z
U1 0.0000 0.0000 0.0000
Al1 0.3333 0.6667 0.1342
Al2 0.3333 0.6667 0.3670
Al3 0.3333 0.6667 0.7537
C1 0.3333 0.6667 0.2502
C2 0.3333 0.6667 0.5928
C3 0.3333 0.6667 0.9045
```



Computed powder diffractogram
Compound: Al3W3C4
Radiation: Cu Kα, 1.54184 Å
Structure: a crystal structure in the Materials Project, relaxed with PBE
Neutral-atom scattering factors, no anomalous dispersion.

Top 12 peaks for 10° ≤ 2θ ≤ 80°, in order of falling intensity:
hkl 0 1 3, 35.6°, intensity 100; hkl 1 1 3, 48.3°, intensity 98; hkl 1 0 0, 31.6°, intensity 65; hkl 0 0 6, 37.0°, intensity 46; hkl 1 0 6, 49.4°, intensity 43; hkl 0 1 2, 32.8°, intensity 42; hkl 1 0 1, 32.2°, intensity 31; hkl 2 0 0, 65.8°, intensity 29; hkl 1 1 2, 46.1°, intensity 28; hkl 0 0 5, 30.7°, intensity 24; hkl 1 0 5, 44.6°, intensity 23; hkl 2 1 3, 77.2°, intensity 22

Structure:
```
data_Al3W3C4
_chemical_formula_sum 'Al3 W3 C4'
_space_group_name_H-M_alt 'P m m 2'
_space_group_IT_number 25
_cell_length_a 2.8351
_cell_length_b 2.9463
_cell_length_c 14.5713
_cell_angle_alpha 90.00
_cell_angle_beta 90.00
_cell_angle_gamma 90.00
loop_
_space_group_symop_operation_xyz
'x,y,z'
'-x,-y,z'
'-x,y,z'
'x,-y,z'
loop_
_atom_site_label
_atom_site_fract_x
_atom_site_fract_y
_atom_site_fract_z
Al1 0.0000 0.0000 0.0000
Al2 0.0000 0.0000 0.3354
Al3 0.0000 0.5000 0.1646
W1 0.0000 0.0000 0.6675
W2 0.0000 0.5000 0.4934
W3 0.0000 0.5000 0.8397
C1 0.5000 0.0000 0.1299
C2 0.5000 0.0000 0.7821
C3 0.5000 0.5000 0.6054
C4 0.5000 0.5000 0.9506
```